The following is a simulated PXRD pattern of Ca3Mg2Ag6. It was derived from a cell relaxed with GGA-PBE, using a wavelength of 1.5418 Å.

Principal peaks in the range 5 to 70 degrees two-theta, by intensity:
| 2θ (°) | Rel. int. |
| --- | --- |
| 37.73 | 100 |
| 12.38 | 47 |
| 33.14 | 32 |
| 68.12 | 29 |
| 21.52 | 16 |
| 54.42 | 14 |
| 56.05 | 12 |
| 24.90 | 11 |
| 45.74 | 11 |
| 39.86 | 9 |
| 60.74 | 6 |
| 43.85 | 6 |

Crystal structure
abc: 8.7599 8.7599 8.7599
angles: 109.47 109.47 109.47
Fractional coordinates of all 22 atoms:
Ca 0.0000 0.2880 0.2880
Ca 0.0000 0.7120 0.7120
Ca 0.2880 0.0000 0.2880
Ca 0.2880 0.2880 0.0000
Ca 0.7120 0.0000 0.7120
Ca 0.7120 0.7120 0.0000
Mg 0.0000 0.0000 0.5000
Mg 0.0000 0.5000 0.0000
Mg 0.5000 0.0000 0.0000
Mg 0.5000 0.5000 0.5000
Ag 0.0000 0.3319 0.6681
Ag 0.0000 0.6681 0.3319
Ag 0.3319 0.0000 0.6681
Ag 0.3319 0.3319 0.6638
Ag 0.3319 0.6638 0.3319
Ag 0.3319 0.6681 0.0000
Ag 0.3362 0.6681 0.6681
Ag 0.6638 0.3319 0.3319
Ag 0.6681 0.0000 0.3319
Ag 0.6681 0.3319 0.0000
Ag 0.6681 0.3362 0.6681
Ag 0.6681 0.6681 0.3362

=====

The following is a simulated PXRD pattern of Ca3Mg7Ag4. It was derived from a cell relaxed with GGA-PBE, using a wavelength of 1.5418 Å.

Principal peaks in the range 5 to 70 degrees two-theta, by intensity:
| 2θ (°) | Rel. int. |
| --- | --- |
| 33.08 | 100 |
| 24.34 | 78 |
| 39.29 | 74 |
| 38.98 | 64 |
| 20.34 | 63 |
| 31.87 | 47 |
| 40.21 | 44 |
| 31.46 | 38 |
| 38.10 | 35 |
| 21.73 | 31 |
| 44.37 | 31 |
| 26.51 | 29 |

Crystal structure
abc: 8.6852 8.6852 10.6412
angles: 123.44 123.44 30.86
Fractional coordinates of all 14 atoms:
Ca 0.0000 0.0000 0.0000
Ca 0.3064 0.3064 0.2952
Ca 0.6936 0.6936 0.7048
Mg 0.0000 0.0000 0.5000
Mg 0.1635 0.1635 0.4261
Mg 0.3191 0.3191 0.9834
Mg 0.4882 0.4882 0.6985
Mg 0.5118 0.5118 0.3015
Mg 0.6809 0.6809 0.0166
Mg 0.8365 0.8365 0.5739
Ag 0.1110 0.1110 0.8243
Ag 0.3369 0.3369 0.7353
Ag 0.6631 0.6631 0.2647
Ag 0.8890 0.8890 0.1757

=====

The following is a simulated PXRD pattern of Ca2Mg9Ag6. It was derived from a cell relaxed with GGA-PBE, using a wavelength of 1.5418 Å.

Principal peaks in the range 5 to 70 degrees two-theta, by intensity:
| 2θ (°) | Rel. int. |
| --- | --- |
| 36.15 | 100 |
| 30.19 | 55 |
| 17.29 | 49 |
| 19.42 | 32 |
| 40.33 | 25 |
| 50.44 | 24 |
| 57.57 | 24 |
| 62.81 | 19 |
| 39.42 | 18 |
| 69.36 | 13 |
| 26.11 | 10 |
| 53.62 | 10 |

Crystal structure
abc: 5.9206 5.9206 13.7149
angles: 90.00 90.00 120.00
Fractional coordinates of all 17 atoms:
Ca 0.0000 0.0000 0.1659
Ca 0.0000 0.0000 0.8341
Mg 0.0000 0.5000 0.0000
Mg 0.0000 0.5000 0.3381
Mg 0.0000 0.5000 0.6619
Mg 0.5000 0.0000 0.0000
Mg 0.5000 0.0000 0.3381
Mg 0.5000 0.0000 0.6619
Mg 0.5000 0.5000 0.0000
Mg 0.5000 0.5000 0.3381
Mg 0.5000 0.5000 0.6619
Ag 0.3333 0.6667 0.1695
Ag 0.3333 0.6667 0.5000
Ag 0.3333 0.6667 0.8305
Ag 0.6667 0.3333 0.1695
Ag 0.6667 0.3333 0.5000
Ag 0.6667 0.3333 0.8305